The following is a theoretical XRD peak list of CaPrTm2. It was derived from a structure optimized by DFT (PBE), using Cu Kα, 1.54184 Å.
No peak broadening, texture or thermal motion is included.

Largest 8 diffraction maxima, in order of rising 2θ, 2θ = 10–80°:
d/Å	I_rel
3.133	57
3.042	74
2.852	100
2.674	53
2.384	71
1.797	28
1.780	39
1.548	42

Crystal structure
abc: 3.5596 3.5596 37.5999
angles: 90.00 90.00 120.00
Element x y z (fractional)
Ca (0.0000, 0.0000, 0.0000)
Ca (0.3333, 0.6667, 0.6667)
Ca (0.6667, 0.3333, 0.3333)
Pr (0.0000, 0.0000, 0.5000)
Pr (0.3333, 0.6667, 0.1667)
Pr (0.6667, 0.3333, 0.8333)
Tm (0.0000, 0.0000, 0.0897)
Tm (0.0000, 0.0000, 0.9103)
Tm (0.3333, 0.6667, 0.5769)
Tm (0.3333, 0.6667, 0.7564)
Tm (0.6667, 0.3333, 0.2436)
Tm (0.6667, 0.3333, 0.4231)



The following is a theoretical XRD peak list of Pu4TcGe2. It was derived from a structure optimized by DFT (PBE), using Cu Kα, 1.54184 Å.
No peak broadening, texture or thermal motion is included.

Largest 8 diffraction maxima, in order of rising 2θ, 2θ = 10–80°:
d/Å	I_rel
4.320	20
3.283	23
2.557	100
2.374	68
2.017	29
1.740	27
1.476	19
1.438	29

Crystal structure
abc: 7.1941 7.1941 7.1941
angles: 41.64 41.64 41.64
Element x y z (fractional)
Pu (0.0742, 0.0742, 0.0742)
Pu (0.2263, 0.2263, 0.2263)
Pu (0.7737, 0.7737, 0.7737)
Pu (0.9258, 0.9258, 0.9258)
Tc (0.5000, 0.5000, 0.5000)
Ge (0.3725, 0.3725, 0.3725)
Ge (0.6275, 0.6275, 0.6275)



The following is a theoretical XRD peak list of Tc8H. It was derived from a structure optimized by DFT (PBE), using Cu Kα, 1.54184 Å.
No peak broadening, texture or thermal motion is included.

Largest 8 diffraction maxima, in order of rising 2θ, 2θ = 10–80°:
d/Å	I_rel
4.451	1
2.402	24
2.226	26
2.114	100
1.633	15
1.387	17
1.262	17
1.201	3

Crystal structure
abc: 5.5478 5.5478 4.4515
angles: 90.00 90.00 120.00
Element x y z (fractional)
Tc (0.1697, 0.3394, 0.2374)
Tc (0.1697, 0.8303, 0.2374)
Tc (0.3333, 0.6667, 0.7568)
Tc (0.3394, 0.1697, 0.7626)
Tc (0.6606, 0.8303, 0.2374)
Tc (0.6667, 0.3333, 0.2432)
Tc (0.8303, 0.1697, 0.7626)
Tc (0.8303, 0.6606, 0.7626)
H (0.0000, 0.0000, 0.5000)



The following is a theoretical XRD peak list of LaSm6Ho3. It was derived from a structure optimized by DFT (PBE), using Cu Kα, 1.54184 Å.
No peak broadening, texture or thermal motion is included.

Largest 8 diffraction maxima, in order of rising 2θ, 2θ = 10–80°:
d/Å	I_rel
3.105	65
2.866	100
2.819	17
2.198	16
2.106	22
1.697	22
1.655	20
1.634	12

Crystal structure
abc: 6.9779 6.9779 6.9779
angles: 90.71 90.71 90.71
Element x y z (fractional)
La (0.0000, 0.0000, 0.0000)
Sm (0.1726, 0.8269, 0.4993)
Sm (0.3306, 0.6690, 0.9993)
Sm (0.4993, 0.1726, 0.8269)
Sm (0.6690, 0.9993, 0.3306)
Sm (0.8269, 0.4993, 0.1726)
Sm (0.9993, 0.3306, 0.6690)
Ho (0.2548, 0.2548, 0.2548)
Ho (0.5003, 0.5003, 0.5003)
Ho (0.7463, 0.7463, 0.7463)



The following is a theoretical XRD peak list of Pm3Dy8Y. It was derived from a structure optimized by DFT (PBE), using Cu Kα, 1.54184 Å.
No peak broadening, texture or thermal motion is included.

Largest 8 diffraction maxima, in order of rising 2θ, 2θ = 10–80°:
d/Å	I_rel
3.152	24
2.851	24
2.758	100
2.114	16
1.820	13
1.628	21
1.534	19
1.519	16

Crystal structure
abc: 8.4930 8.4930 10.9115
angles: 129.90 129.90 43.59
Element x y z (fractional)
Pm (0.0000, 0.0000, 0.0000)
Pm (0.0859, 0.4133, 0.7495)
Pm (0.5867, 0.9141, 0.2505)
Dy (0.0024, 0.9971, 0.3328)
Dy (0.0029, 0.9976, 0.6672)
Dy (0.0834, 0.4180, 0.0829)
Dy (0.0830, 0.4185, 0.4186)
Dy (0.5025, 0.4973, 0.8321)
Dy (0.5027, 0.4975, 0.1679)
Dy (0.5815, 0.9170, 0.5814)
Dy (0.5820, 0.9166, 0.9171)
Y (0.5008, 0.4992, 0.5000)



The following is a theoretical XRD peak list of NaAcNbO5. It was derived from a structure optimized by DFT (PBE), using Cu Kα, 1.54184 Å.
No peak broadening, texture or thermal motion is included.

Largest 8 diffraction maxima, in order of rising 2θ, 2θ = 10–80°:
d/Å	I_rel
5.692	90
3.886	100
3.434	54
3.192	78
3.040	67
2.956	36
2.724	35
1.832	39

Crystal structure
abc: 6.2606 6.2606 8.7176
angles: 101.43 101.43 108.64
Element x y z (fractional)
Na (0.1604, 0.8396, 0.7500)
Na (0.8396, 0.1604, 0.2500)
Ac (0.5000, 0.5000, 0.0000)
Ac (0.5000, 0.5000, 0.5000)
Nb (0.1849, 0.8151, 0.2500)
Nb (0.8151, 0.1849, 0.7500)
O (0.0838, 0.2342, 0.9127)
O (0.1529, 0.5558, 0.3364)
O (0.2342, 0.0838, 0.4127)
O (0.3988, 0.6012, 0.7500)
O (0.4442, 0.8471, 0.1636)
O (0.5558, 0.1529, 0.8364)
O (0.6012, 0.3988, 0.2500)
O (0.7658, 0.9162, 0.5873)
O (0.8471, 0.4442, 0.6636)
O (0.9162, 0.7658, 0.0873)



The following is a theoretical XRD peak list of TiAg3Se4. It was derived from a structure optimized by DFT (PBE), using Cu Kα, 1.54184 Å.
No peak broadening, texture or thermal motion is included.

Largest 8 diffraction maxima, in order of rising 2θ, 2θ = 10–80°:
d/Å	I_rel
6.266	69
3.618	100
2.215	99
2.089	15
1.889	43
1.738	17
1.438	15
1.279	27

Crystal structure
abc: 6.2661 6.2661 6.2661
angles: 90.00 90.00 90.00
Element x y z (fractional)
Ti (0.0000, 0.0000, 0.0000)
Ag (0.0000, 0.0000, 0.5000)
Ag (0.0000, 0.5000, 0.0000)
Ag (0.5000, 0.0000, 0.0000)
Se (0.2257, 0.2257, 0.2257)
Se (0.2257, 0.7743, 0.7743)
Se (0.7743, 0.2257, 0.7743)
Se (0.7743, 0.7743, 0.2257)



The following is a theoretical XRD peak list of NdCuSi2Ni. It was derived from a structure optimized by DFT (PBE), using Cu Kα, 1.54184 Å.
No peak broadening, texture or thermal motion is included.

Largest 8 diffraction maxima, in order of rising 2θ, 2θ = 10–80°:
d/Å	I_rel
3.758	40
2.542	47
2.480	100
2.036	40
1.760	15
1.589	22
1.416	16
1.245	21

Crystal structure
abc: 4.0723 4.0723 9.7611
angles: 90.00 90.00 90.00
Element x y z (fractional)
Nd (0.0000, 0.0000, 0.0000)
Nd (0.5000, 0.5000, 0.5000)
Cu (0.0000, 0.5000, 0.2500)
Cu (0.5000, 0.0000, 0.7500)
Si (0.0000, 0.0000, 0.3750)
Si (0.0000, 0.0000, 0.6250)
Si (0.5000, 0.5000, 0.1250)
Si (0.5000, 0.5000, 0.8750)
Ni (0.0000, 0.5000, 0.7500)
Ni (0.5000, 0.0000, 0.2500)



The following is a theoretical XRD peak list of AcCu10Ag. It was derived from a structure optimized by DFT (PBE), using Cu Kα, 1.54184 Å.
No peak broadening, texture or thermal motion is included.

Largest 8 diffraction maxima, in order of rising 2θ, 2θ = 10–80°:
d/Å	I_rel
3.006	82
2.531	30
2.187	36
2.158	100
2.153	53
2.067	44
1.600	23
1.210	22

Crystal structure
abc: 4.1338 5.0450 8.7771
angles: 90.00 90.00 90.00
Element x y z (fractional)
Ac (0.0000, 0.0000, 0.0000)
Cu (0.0000, 0.0000, 0.3507)
Cu (0.0000, 0.0000, 0.6493)
Cu (0.0000, 0.5000, 0.1962)
Cu (0.0000, 0.5000, 0.8038)
Cu (0.5000, 0.0000, 0.5000)
Cu (0.5000, 0.2521, 0.2590)
Cu (0.5000, 0.2521, 0.7410)
Cu (0.5000, 0.5000, 0.0000)
Cu (0.5000, 0.7479, 0.2590)
Cu (0.5000, 0.7479, 0.7410)
Ag (0.0000, 0.5000, 0.5000)



Q: Which formula does entry 5 have?
A: Pm3Dy8Y